Diffraction record for Nd4DyCd3. The powder X-ray diffraction pattern is simulated, not measured: it uses DFT lattice parameters and positions (PBE) and copper Kα.
Lines closer than 0.1° are merged.

Cell and atoms:
abc: 3.8071 5.5583 11.2333
angles: 90.00 90.00 90.00
Space group Pmmm (No. 47)
Asymmetric unit:
Nd 0.0000 0.0000 0.0000 [1 per cell]
Nd 0.0000 0.0000 0.5000 [1 per cell]
Nd 0.0000 0.5000 0.2383 [2 per cell]
Dy 0.5000 0.5000 0.5000 [1 per cell]
Cd 0.5000 0.0000 0.2535 [2 per cell]
Cd 0.5000 0.5000 0.0000 [1 per cell]

Most intense lines, 5° ≤ 2θ ≤ 70°, sorted by position:
| Position (°2θ) | I_rel | (hkl) |
| --- | --- | --- |
| 31.87 | 26 | 0 0 4 |
| 32.21 | 26 | 0 2 0 |
| 32.67 | 100 | 1 1 2 |
| 45.94 | 19 | 0 2 4 |
| 47.78 | 9 | 2 0 0 |
| 57.29 | 19 | 1 1 6 |
| 57.72 | 19 | 1 3 2 |
| 58.58 | 9 | 2 0 4 |
| 58.80 | 9 | 2 2 0 |
| 68.45 | 11 | 2 2 4 |